Structure and simulated XRD peak list of Li2TaS (a crystal structure in Alexandria, relaxed with PBE; copper Kα).
Kinematic intensities with the Lorentz-polarization factor, no thermal factor.

Top 8 peaks for 10° ≤ 2θ ≤ 80°, in order of rising 2θ:
d (Å), Position (°2θ), I/Imax
3.990, 22.28, 58
3.653, 24.36, 100
2.694, 33.25, 47
2.583, 34.73, 46
2.163, 41.76, 52
1.659, 55.39, 56
1.634, 56.31, 21
1.396, 67.03, 23

Cell and atoms:
```
Li2TaS
1.0
-3.653 3.653 2.382
3.653 -3.653 2.382
3.653 3.653 -2.382
Li Ta S
4 2 2
Cartesian
5.480 1.350 -0.595
1.350 1.827 0.595
-1.827 2.303 1.786
2.303 1.827 2.977
3.653 0.000 1.191
0.000 0.000 2.382
0.000 0.000 0.000
0.000 3.653 1.191
```

---

Structure and simulated XRD peak list of LiTa2S5 (a crystal structure in Alexandria, relaxed with PBE; copper Kα).
Kinematic intensities with the Lorentz-polarization factor, no thermal factor.

Top 8 peaks for 10° ≤ 2θ ≤ 80°, in order of rising 2θ:
d (Å), Position (°2θ), I/Imax
6.811, 13.00, 100
6.753, 13.11, 39
4.795, 18.50, 19
3.081, 28.98, 15
3.070, 29.09, 15
2.589, 34.65, 30
2.098, 43.12, 14
2.061, 43.93, 21

Cell and atoms:
```
LiTa2S5
1.0
0.000 6.753 6.811
2.206 0.000 6.811
2.206 6.753 0.000
Li Ta S
1 2 5
Cartesian
0.000 0.000 0.000
2.206 4.340 6.811
2.206 9.166 6.811
2.206 2.394 5.330
2.206 2.394 8.293
2.206 6.753 6.811
2.206 11.111 5.330
2.206 11.111 8.293
```

---

Structure and simulated XRD peak list of Li3Y3TaS8 (a crystal structure in Alexandria, relaxed with PBE; copper Kα).
Kinematic intensities with the Lorentz-polarization factor, no thermal factor.

Top 8 peaks for 10° ≤ 2θ ≤ 80°, in order of rising 2θ:
d (Å), Position (°2θ), I/Imax
6.251, 14.17, 20
6.192, 14.30, 98
3.267, 27.30, 64
2.700, 33.18, 100
2.475, 36.30, 26
1.916, 47.45, 34
1.903, 47.81, 34
1.831, 49.81, 25

Cell and atoms:
```
Li3Y3TaS8
1.0
3.832 2.213 6.192
-3.832 2.213 6.192
0.000 -4.425 6.192
Li Y Ta S
3 3 1 8
Cartesian
-1.916 -1.106 6.192
-1.916 1.106 12.383
0.000 2.213 6.192
-3.832 0.000 9.288
-1.916 1.106 3.096
1.916 1.106 3.096
0.000 0.000 9.288
0.000 0.000 4.679
0.000 -2.035 7.808
-1.762 1.018 7.808
-1.762 -1.018 10.767
1.762 1.018 7.808
1.762 -1.018 10.767
0.000 2.035 10.767
0.000 0.000 13.896
```

---

Structure and simulated XRD peak list of Li3Zr3TaS8 (a crystal structure in Alexandria, relaxed with PBE; copper Kα).
Kinematic intensities with the Lorentz-polarization factor, no thermal factor.

Top 8 peaks for 10° ≤ 2θ ≤ 80°, in order of rising 2θ:
d (Å), Position (°2θ), I/Imax
6.372, 13.90, 100
3.044, 29.34, 48
2.591, 34.62, 87
2.400, 37.47, 24
2.044, 44.31, 17
1.889, 48.18, 32
1.780, 51.32, 27
1.715, 53.44, 18

Cell and atoms:
```
Li3Zr3TaS8
1.0
3.561 2.056 6.372
-3.561 2.056 6.372
0.000 -4.111 6.372
Li Zr Ta S
3 3 1 8
Cartesian
-1.780 -1.028 6.372
-1.780 1.028 12.744
0.000 2.056 6.372
-3.561 0.000 9.558
-1.780 1.028 3.186
1.780 1.028 3.186
0.000 0.000 9.558
0.000 0.000 4.792
0.000 -1.992 8.012
-1.725 0.996 8.012
-1.725 -0.996 11.105
1.725 0.996 8.012
1.725 -0.996 11.105
0.000 1.992 11.105
0.000 0.000 14.325
```

---

Structure and simulated XRD peak list of LiTb6S5 (a crystal structure in Alexandria, relaxed with PBE; copper Kα).
Kinematic intensities with the Lorentz-polarization factor, no thermal factor.

Top 8 peaks for 10° ≤ 2θ ≤ 80°, in order of rising 2θ:
d (Å), Position (°2θ), I/Imax
3.440, 25.90, 29
3.320, 26.85, 30
3.228, 27.64, 56
2.690, 33.31, 100
2.389, 37.65, 28
1.917, 47.42, 39
1.692, 54.22, 21
1.675, 54.82, 24

Cell and atoms:
```
LiTb6S5
1.0
6.641 0.000 0.000
-3.320 5.751 0.000
0.000 0.000 13.762
Li Tb S
2 12 10
Cartesian
0.000 0.000 3.440
0.000 0.000 10.321
-1.123 1.945 1.579
-1.123 1.945 5.302
-2.197 3.806 8.459
-2.197 3.806 12.183
2.246 0.000 1.579
2.246 0.000 5.302
1.123 1.945 8.459
1.123 1.945 12.183
4.395 0.000 8.459
4.395 0.000 12.183
2.197 3.806 1.579
2.197 3.806 5.302
-1.130 1.958 10.321
-2.190 3.793 3.440
0.000 3.834 0.000
0.000 3.834 6.881
2.261 0.000 10.321
1.130 1.958 3.440
4.380 0.000 3.440
2.190 3.793 10.321
3.320 1.917 0.000
3.320 1.917 6.881
```

---

Structure and simulated XRD peak list of Li4TbTm3S8 (a crystal structure in Alexandria, relaxed with PBE; copper Kα).
Kinematic intensities with the Lorentz-polarization factor, no thermal factor.

Top 8 peaks for 10° ≤ 2θ ≤ 80°, in order of rising 2θ:
d (Å), Position (°2θ), I/Imax
6.166, 14.37, 100
3.304, 26.99, 69
3.156, 28.28, 25
2.717, 32.97, 90
2.486, 36.13, 32
1.938, 46.87, 33
1.904, 47.76, 31
1.849, 49.28, 27

Cell and atoms:
```
Li4TbTm3S8
1.0
3.877 2.238 6.166
-3.877 2.238 6.166
0.000 -4.477 6.166
Li Tb Tm S
4 1 3 8
Cartesian
0.000 0.000 0.000
-1.938 -1.119 6.166
-1.938 1.119 12.331
0.000 2.238 6.166
0.000 0.000 9.248
-3.877 0.000 9.248
-1.938 1.119 3.083
1.938 1.119 3.083
-1.961 -1.132 10.785
0.000 -2.265 7.712
-1.961 1.132 7.712
0.000 0.000 4.608
0.000 0.000 13.889
1.961 -1.132 10.785
0.000 2.265 10.785
1.961 1.132 7.712
```